Record 1
The following is a computed powder diffractogram of Tb2SiB2Ir5. It was derived from a cell relaxed with PBE, using Cu Kα.
Kinematic intensities with the Lorentz-polarization factor, no thermal factor.

Structural model:
abc: 9.449 9.449 3.235
angles: 90.00 90.00 90.00
Space group P4/mbm (No. 127)
Unique sites:
Tb 0.177 0.323 0.000
Si 0.000 0.000 0.000
B 0.122 0.622 0.000
Ir 0.000 0.500 0.500
Ir 0.068 0.785 0.500

Most intense lines, 10° ≤ 2θ ≤ 90°, low angle first:
2θ 27.57, I = 37, (0 0 1); 2θ 34.21, I = 26, (3 2 0); 2θ 34.93, I = 87, (2 1 1); 2θ 38.75, I = 30, (2 2 1); 2θ 39.31, I = 100, (4 1 0); 2θ 40.50, I = 29, (3 3 0); 2θ 41.12, I = 92, (3 1 1); 2θ 42.80, I = 31, (4 2 0); 2θ 44.49, I = 47, (3 2 1); 2θ 71.38, I = 35, (4 1 2)

Record 2
The following is a computed powder diffractogram of Sm2B10Ir. It was derived from a cell relaxed with PBE, using Cu Kα.
Kinematic intensities with the Lorentz-polarization factor, no thermal factor.

Structural model:
abc: 5.729 11.414 4.204
angles: 90.00 90.00 90.00
Space group Pbam (No. 55)
Unique sites:
Sm 0.205 0.134 0.000
B 0.055 0.307 0.500
B 0.119 0.957 0.500
B 0.138 0.803 0.500
B 0.219 0.381 0.199
Ir 0.000 0.500 0.500

Most intense lines, 10° ≤ 2θ ≤ 90°, low angle first:
2θ 17.32, I = 37, (1 1 0); 2θ 21.98, I = 69, (1 2 0); 2θ 26.33, I = 38, (0 2 1); 2θ 27.45, I = 83, (1 1 1); 2θ 28.15, I = 41, (1 3 0); 2θ 30.68, I = 100, (1 2 1); 2θ 38.01, I = 70, (2 0 1); 2θ 38.12, I = 82, (0 4 1); 2θ 43.03, I = 30, (0 0 2); 2θ 44.83, I = 44, (2 4 0)

Record 3
The following is a computed powder diffractogram of SmB3Ir6. It was derived from a cell relaxed with PBE, using Cu Kα.
Kinematic intensities with the Lorentz-polarization factor, no thermal factor.

Structural model:
abc: 5.481 5.492 5.953
angles: 64.18 69.72 60.49
Space group P1 (No. 1)
Unique sites:
Sm 0.000 0.000 0.000
B 0.253 0.357 0.040
B 0.675 0.914 0.484
B 0.702 0.634 0.041
Ir 0.049 0.623 0.661
Ir 0.413 0.896 0.306
Ir 0.454 0.379 0.299
Ir 0.532 0.583 0.780
Ir 0.546 0.089 0.784
Ir 0.924 0.401 0.357

Most intense lines, 10° ≤ 2θ ≤ 90°, low angle first:
2θ 29.89, I = 31, (0 1 -1); 2θ 32.61, I = 40, (1 1 -1); 2θ 33.94, I = 45, (0 0 2); 2θ 36.09, I = 30, (1 0 2); 2θ 37.88, I = 80, (0 2 1); 2θ 38.04, I = 100, (2 2 1); 2θ 38.30, I = 72, (2 0 0); 2θ 41.97, I = 33, (1 0 -2); 2θ 44.76, I = 32, (2 0 -1); 2θ 48.48, I = 27, (1 2 3)

Record 4
The following is a computed powder diffractogram of SmZnBIr2. It was derived from a cell relaxed with PBE, using Cu Kα.
Kinematic intensities with the Lorentz-polarization factor, no thermal factor.

Structural model:
abc: 4.120 11.011 7.432
angles: 90.00 90.00 90.00
Space group Cmcm (No. 63)
Unique sites:
Sm 0.000 0.051 0.250
Zn 0.000 0.229 0.750
B 0.000 0.500 0.000
Ir 0.000 0.330 0.059

Most intense lines, 10° ≤ 2θ ≤ 90°, low angle first:
2θ 16.10, I = 30, (0 2 0); 2θ 28.99, I = 28, (0 2 2); 2θ 32.68, I = 100, (1 3 0); 2θ 33.48, I = 88, (1 1 2); 2θ 34.75, I = 43, (0 4 1); 2θ 34.89, I = 29, (1 3 1); 2θ 39.91, I = 40, (0 2 3); 2θ 40.92, I = 27, (1 3 2); 2θ 43.41, I = 52, (1 1 3); 2θ 43.96, I = 45, (2 0 0)

Record 5
The following is a computed powder diffractogram of Sn4B3Ir7. It was derived from a cell relaxed with PBE, using Cu Kα.
Kinematic intensities with the Lorentz-polarization factor, no thermal factor.

Structural model:
abc: 9.3856 9.3856 5.6936
angles: 90.00 90.00 120.00
Space group P6_3/m (No. 176)
Unique sites:
Sn 0.0917 0.5895 0.2500
Sn 0.3333 0.6667 0.7500
B 0.0370 0.8273 0.7500
Ir 0.0000 0.0000 0.0000
Ir 0.1238 0.3541 0.5011

Most intense lines, 10° ≤ 2θ ≤ 90°, low angle first:
2θ 29.07, I = 49, (1 2 0); 2θ 31.42, I = 20, (0 0 2); 2θ 33.13, I = 35, (1 2 1); 2θ 33.35, I = 31, (1 0 2); 2θ 38.36, I = 49, (2 2 0); 2θ 39.99, I = 63, (1 3 0); 2θ 43.33, I = 100, (1 2 2); 2θ 50.40, I = 23, (2 2 2); 2θ 51.72, I = 32, (1 3 2); 2θ 72.81, I = 39, (5 1 2)

Record 6
The following is a computed powder diffractogram of Sn5B2Ir6. It was derived from a cell relaxed with PBE, using Cu Kα.
Kinematic intensities with the Lorentz-polarization factor, no thermal factor.

Structural model:
abc: 6.7181 6.7181 5.6483
angles: 90.00 90.00 120.00
Space group P-62m (No. 189)
Unique sites:
Sn 0.0000 0.5957 0.0000
Sn 0.3333 0.6667 0.5000
B 0.0000 0.0000 0.0000
B 0.0000 0.0000 0.5000
Ir 0.0000 0.2522 0.2541

Most intense lines, 10° ≤ 2θ ≤ 90°, low angle first:
2θ 26.54, I = 45, (1 1 0); 2θ 30.97, I = 40, (1 1 1); 2θ 35.33, I = 38, (1 0 2); 2θ 41.04, I = 89, (2 1 0); 2θ 41.79, I = 100, (1 1 2); 2θ 46.85, I = 20, (3 0 0); 2θ 52.76, I = 31, (2 1 2); 2θ 73.19, I = 26, (4 0 2); 2θ 79.41, I = 20, (3 2 2); 2θ 80.90, I = 26, (2 1 4)

Record 7
The following is a computed powder diffractogram of SrBIr. It was derived from a cell relaxed with PBE, using Cu Kα.
Kinematic intensities with the Lorentz-polarization factor, no thermal factor.

Structural model:
abc: 3.939 3.939 8.777
angles: 90.00 90.00 90.00
Space group P4/nmm (No. 129, origin choice 2)
Unique sites:
Sr 0.250 0.250 0.206
B 0.250 0.250 0.598
Ir 0.250 0.750 0.500

Most intense lines, 10° ≤ 2θ ≤ 90°, low angle first:
2θ 10.08, I = 100, (0 0 1); 2θ 20.23, I = 10, (0 0 2); 2θ 24.78, I = 11, (1 0 1); 2θ 30.55, I = 20, (0 0 3); 2θ 33.76, I = 34, (1 1 1); 2θ 38.28, I = 42, (1 1 2); 2θ 46.09, I = 14, (2 0 0); 2θ 56.31, I = 13, (2 0 3); 2θ 62.54, I = 11, (1 1 5); 2θ 80.09, I = 10, (3 1 2)

Record 8
The following is a computed powder diffractogram of SrB4Ir4. It was derived from a cell relaxed with PBE, using Cu Kα.
Kinematic intensities with the Lorentz-polarization factor, no thermal factor.

Structural model:
abc: 5.454 5.454 7.534
angles: 90.00 90.00 90.00
Space group P4_2/nmc (No. 137, origin choice 2)
Unique sites:
Sr 0.250 0.750 0.250
B 0.075 0.250 0.094
Ir 0.002 0.750 0.610

Most intense lines, 10° ≤ 2θ ≤ 90°, low angle first:
2θ 20.10, I = 33, (1 0 1); 2θ 28.80, I = 62, (1 0 2); 2θ 34.99, I = 100, (2 0 1); 2θ 38.81, I = 54, (2 1 1); 2θ 39.50, I = 43, (1 0 3); 2θ 44.24, I = 47, (2 1 2); 2θ 47.13, I = 33, (2 2 0); 2θ 69.80, I = 28, (2 2 4); 2θ 71.54, I = 20, (2 0 5); 2θ 79.64, I = 21, (4 2 1)

Record 9
The following is a computed powder diffractogram of Sr2B10Ir. It was derived from a cell relaxed with PBE, using Cu Kα.
Kinematic intensities with the Lorentz-polarization factor, no thermal factor.

Structural model:
abc: 5.818 11.604 4.269
angles: 90.00 90.00 90.00
Space group Pbam (No. 55)
Unique sites:
Sr 0.206 0.135 0.000
B 0.053 0.308 0.500
B 0.120 0.956 0.500
B 0.144 0.803 0.500
B 0.215 0.383 0.201
Ir 0.000 0.500 0.500

Most intense lines, 10° ≤ 2θ ≤ 90°, low angle first:
2θ 15.27, I = 39, (0 2 0); 2θ 17.05, I = 58, (1 1 0); 2θ 25.91, I = 37, (0 2 1); 2θ 27.02, I = 75, (1 1 1); 2θ 27.69, I = 36, (1 3 0); 2θ 30.19, I = 41, (1 2 1); 2θ 34.49, I = 19, (2 2 0); 2θ 37.45, I = 100, (0 4 1); 2θ 42.35, I = 19, (0 0 2); 2θ 44.08, I = 30, (2 4 0)

Record 10
The following is a computed powder diffractogram of Tb3B2Ir7. It was derived from a cell relaxed with PBE, using Cu Kα.
Kinematic intensities with the Lorentz-polarization factor, no thermal factor.

Structural model:
abc: 5.4239 5.4239 22.6629
angles: 90.00 90.00 120.00
Space group R-3m (No. 166, hexagonal axes)
Unique sites:
Tb 0.0000 0.0000 0.0000
Tb 0.0000 0.0000 0.1435
B 0.0000 0.0000 0.3349
Ir 0.0000 0.0000 0.5000
Ir 0.0002 0.5001 0.0693

Most intense lines, 10° ≤ 2θ ≤ 90°, low angle first:
2θ 33.62, I = 44, (1 0 7); 2θ 35.16, I = 29, (1 1 3); 2θ 37.06, I = 62, (0 1 8); 2θ 38.54, I = 100, (0 2 1); 2θ 39.17, I = 68, (2 0 2); 2θ 40.97, I = 95, (1 1 6); 2θ 43.39, I = 29, (2 0 5); 2θ 61.66, I = 29, (1 2 8); 2θ 69.30, I = 42, (2 2 0); 2θ 70.68, I = 38, (2 0 14)

Record 11
The following is a computed powder diffractogram of Tb2B6Ir9. It was derived from a cell relaxed with PBE, using Cu Kα.
Kinematic intensities with the Lorentz-polarization factor, no thermal factor.

Structural model:
abc: 5.6578 5.6578 8.6459
angles: 90.00 90.00 120.00
Space group P6/mmm (No. 191)
Unique sites:
Tb 0.0000 0.0000 0.2029
B 0.3333 0.6667 0.1674
B 0.3333 0.6667 0.5000
Ir 0.0000 0.5000 0.0000
Ir 0.0000 0.5000 0.3360

Most intense lines, 10° ≤ 2θ ≤ 90°, low angle first:
2θ 31.03, I = 26, (0 0 3); 2θ 36.16, I = 32, (1 0 3); 2θ 36.68, I = 100, (2 0 0); 2θ 44.90, I = 21, (1 1 3); 2θ 48.79, I = 49, (2 0 3); 2θ 59.31, I = 16, (2 1 3); 2θ 66.06, I = 21, (2 2 0); 2θ 74.76, I = 13, (2 2 3); 2θ 76.73, I = 18, (2 0 6); 2θ 78.00, I = 12, (4 0 0)